Simulated X-ray diffraction stick pattern of Hf2Pd3Pt for Cu Kα (weighted mean of Kα1 and Kα2), from a cell relaxed with GGA-PBE.
Peak positions follow from Bragg's law for the DFT cell and can differ from measured ones.

Cell and atoms:
```
Hf2Pd3Pt
1.0
-4.141 5.197 2.732
4.141 -5.197 2.732
4.141 5.197 -2.732
Hf Pd Pt
4 6 2
Cartesian
1.928 1.379 0.000 Hf
1.928 -1.379 2.732 Hf
2.213 6.576 0.000 Hf
2.213 3.818 2.732 Hf
4.141 -2.461 1.366 Pd
0.000 0.000 1.366 Pd
4.141 2.461 1.366 Pd
0.000 2.736 1.366 Pd
0.000 0.000 4.098 Pd
0.000 7.658 1.366 Pd
4.141 0.000 0.000 Pt
0.000 5.197 0.000 Pt
```

The 10 most intense peaks (10 to 90 degrees two-theta), in order of rising 2θ:
2θ 26.0, d = 3.428 Å, rel. 100.0; 2θ 35.7, d = 2.517 Å, rel. 24.0; 2θ 39.5, d = 2.280 Å, rel. 31.2; 2θ 40.5, d = 2.226 Å, rel. 28.3; 2θ 41.0, d = 2.201 Å, rel. 87.9; 2θ 43.3, d = 2.088 Å, rel. 23.1; 2θ 43.6, d = 2.077 Å, rel. 30.8; 2θ 43.7, d = 2.070 Å, rel. 36.1; 2θ 47.6, d = 1.909 Å, rel. 20.7; 2θ 83.2, d = 1.161 Å, rel. 22.8